Ba2In2O5: theoretical X-ray powder pattern (Cu Kα (λ = 1.5418 Å)), based on a structure optimized by DFT (PBE).
Peak positions follow from Bragg's law for the DFT cell and can differ from measured ones.

Crystal structure
```
data_Ba2In2O5
_cell_length_a 8.6951
_cell_length_b 9.6624
_cell_length_c 9.6624
_cell_angle_alpha 49.99
_cell_angle_beta 90.00
_cell_angle_gamma 90.00
_symmetry_space_group_name_H-M 'P 1'
_symmetry_Int_Tables_number 1
loop_
_symmetry_equiv_pos_as_xyz
'x,y,z'
loop_
_atom_site_label
_atom_site_type_symbol
_atom_site_fract_x
_atom_site_fract_y
_atom_site_fract_z
_atom_site_occupancy
Ba1 Ba 0.2431 0.2500 0.7500 1
Ba2 Ba 0.2432 0.4851 0.9851 1
Ba3 Ba 0.2451 0.9797 0.4797 1
Ba4 Ba 0.2473 0.7458 0.2458 1
Ba5 Ba 0.7527 0.2458 0.7458 1
Ba6 Ba 0.7549 0.4797 0.9797 1
Ba7 Ba 0.7569 0.7500 0.2500 1
Ba8 Ba 0.7568 0.9851 0.4851 1
In1 In 0.0000 0.1157 0.1157 1
In2 In 0.0000 0.3689 0.3689 1
In3 In 0.0000 0.6157 0.6157 1
In4 In 0.0000 0.8689 0.8689 1
In5 In 0.5000 0.1227 0.1227 1
In6 In 0.5000 0.3622 0.3622 1
In7 In 0.5000 0.6227 0.6227 1
In8 In 0.5000 0.8622 0.8622 1
O1 O 0.0000 0.2510 0.2510 1
O2 O 0.0000 0.4880 0.4880 1
O3 O 0.0000 0.7510 0.7510 1
O4 O 0.0000 0.9880 0.9880 1
O5 O 0.0009 0.3792 0.8792 1
O6 O 0.2448 0.3901 0.3558 1
O7 O 0.2448 0.8558 0.8901 1
O8 O 0.2543 0.1130 0.1144 1
O9 O 0.2543 0.6144 0.6130 1
O10 O 0.4866 0.1528 0.6528 1
O11 O 0.5000 0.2433 0.2433 1
O12 O 0.5000 0.3368 0.8368 1
O13 O 0.5000 0.7433 0.7433 1
O14 O 0.5000 0.8368 0.3368 1
O15 O 0.5134 0.6528 0.1528 1
O16 O 0.7457 0.1144 0.1130 1
O17 O 0.7457 0.6130 0.6144 1
O18 O 0.7552 0.3558 0.3901 1
O19 O 0.7552 0.8901 0.8558 1
O20 O 0.9991 0.8792 0.3792 1
```

Most intense lines, 15° ≤ 2θ ≤ 90°, sorted by position:
- 2θ 28.94, d 3.085, I = 96
- 2θ 29.92, d 2.986, I = 100
- 2θ 30.03, d 2.976, I = 92
- 2θ 51.84, d 1.764, I = 38
- 2θ 52.04, d 1.757, I = 41
- 2θ 53.85, d 1.702, I = 34

TlAuCl4: theoretical X-ray powder pattern (Cu Kα (λ = 1.5418 Å)), based on a structure optimized by DFT (PBE).
Peak positions follow from Bragg's law for the DFT cell and can differ from measured ones.

Crystal structure
```
data_TlAuCl4
_cell_length_a 6.9291
_cell_length_b 6.9291
_cell_length_c 10.2205
_cell_angle_alpha 100.23
_cell_angle_beta 100.23
_cell_angle_gamma 50.76
_symmetry_space_group_name_H-M 'P 1'
_symmetry_Int_Tables_number 1
loop_
_symmetry_equiv_pos_as_xyz
'x,y,z'
loop_
_atom_site_label
_atom_site_type_symbol
_atom_site_fract_x
_atom_site_fract_y
_atom_site_fract_z
_atom_site_occupancy
Tl1 Tl 0.2270 0.7730 0.7500 1
Tl2 Tl 0.7730 0.2270 0.2500 1
Au1 Au 0.0000 0.5000 0.0000 1
Au2 Au 0.5000 0.0000 0.5000 1
Cl1 Cl 0.1942 0.2722 0.6481 1
Cl2 Cl 0.1974 0.6784 0.0679 1
Cl3 Cl 0.2722 0.1942 0.1481 1
Cl4 Cl 0.3216 0.8026 0.4321 1
Cl5 Cl 0.6784 0.1974 0.5679 1
Cl6 Cl 0.7278 0.8058 0.8519 1
Cl7 Cl 0.8026 0.3216 0.9321 1
Cl8 Cl 0.8058 0.7278 0.3519 1
```

Most intense lines, 15° ≤ 2θ ≤ 90°, sorted by position:
- 2θ 19.48, d 4.558, I = 100
- 2θ 20.56, d 4.320, I = 41
- 2θ 26.51, d 3.363, I = 33
- 2θ 29.10, d 3.069, I = 29
- 2θ 30.31, d 2.949, I = 56
- 2θ 42.39, d 2.132, I = 31

Ag6S2IBr: theoretical X-ray powder pattern (Cu Kα (λ = 1.5418 Å)), based on a structure optimized by DFT (PBE).
Peak positions follow from Bragg's law for the DFT cell and can differ from measured ones.

Crystal structure
```
data_Ag6S2IBr
_cell_length_a 7.0722
_cell_length_b 6.9917
_cell_length_c 6.9382
_cell_angle_alpha 61.02
_cell_angle_beta 59.86
_cell_angle_gamma 59.12
_symmetry_space_group_name_H-M 'P 1'
_symmetry_Int_Tables_number 1
loop_
_symmetry_equiv_pos_as_xyz
'x,y,z'
loop_
_atom_site_label
_atom_site_type_symbol
_atom_site_fract_x
_atom_site_fract_y
_atom_site_fract_z
_atom_site_occupancy
Ag1 Ag 0.2340 0.7660 0.2340 1
Ag2 Ag 0.3289 0.3289 0.1711 1
Ag3 Ag 0.3898 0.8037 0.6102 1
Ag4 Ag 0.7660 0.2340 0.7660 1
Ag5 Ag 0.8037 0.3898 0.1963 1
Ag6 Ag 0.8289 0.8289 0.6711 1
S1 S 0.0814 0.0814 0.4186 1
S2 S 0.5814 0.5814 0.9186 1
I1 I 0.3312 0.3312 0.6688 1
Br1 Br 0.8228 0.8228 0.1772 1
```

Most intense lines, 15° ≤ 2θ ≤ 90°, sorted by position:
- 2θ 31.31, d 2.857, I = 100
- 2θ 35.64, d 2.519, I = 14
- 2θ 36.20, d 2.482, I = 31
- 2θ 37.09, d 2.424, I = 23
- 2θ 44.45, d 2.038, I = 14
- 2θ 52.79, d 1.734, I = 15

Mg6Si5: theoretical X-ray powder pattern (Cu Kα (λ = 1.5418 Å)), based on a structure optimized by DFT (PBE).
Peak positions follow from Bragg's law for the DFT cell and can differ from measured ones.

Crystal structure
```
data_Mg6Si5
_cell_length_a 4.0660
_cell_length_b 7.1721
_cell_length_c 15.2483
_cell_angle_alpha 81.75
_cell_angle_beta 85.09
_cell_angle_gamma 87.26
_symmetry_space_group_name_H-M 'P 1'
_symmetry_Int_Tables_number 1
loop_
_symmetry_equiv_pos_as_xyz
'x,y,z'
loop_
_atom_site_label
_atom_site_type_symbol
_atom_site_fract_x
_atom_site_fract_y
_atom_site_fract_z
_atom_site_occupancy
Mg1 Mg 0.0000 0.0000 0.0000 1
Mg2 Mg 0.0025 0.5025 0.9630 1
Mg3 Mg 0.0600 0.5433 0.7619 1
Mg4 Mg 0.0994 0.0858 0.7520 1
Mg5 Mg 0.3137 0.2049 0.4695 1
Mg6 Mg 0.3906 0.7662 0.4025 1
Mg7 Mg 0.4078 0.4238 0.2535 1
Mg8 Mg 0.4438 0.9462 0.1806 1
Mg9 Mg 0.5429 0.2574 0.8684 1
Mg10 Mg 0.5468 0.8100 0.8657 1
Mg11 Mg 0.5590 0.8103 0.6637 1
Mg12 Mg 0.8944 0.0908 0.3202 1
Si1 Si 0.1195 0.6391 0.5772 1
Si2 Si 0.4605 0.6938 0.0478 1
Si3 Si 0.4831 0.2738 0.0484 1
Si4 Si 0.6856 0.4730 0.5344 1
Si5 Si 0.7750 0.1547 0.6030 1
Si6 Si 0.8473 0.4438 0.3818 1
Si7 Si 0.8619 0.9287 0.4970 1
Si8 Si 0.9194 0.7260 0.2790 1
Si9 Si 0.9337 0.6165 0.1380 1
Si10 Si 0.9531 0.2615 0.1447 1
```

Most intense lines, 15° ≤ 2θ ≤ 90°, sorted by position:
- 2θ 33.21, d 2.697, I = 71
- 2θ 34.44, d 2.604, I = 67
- 2θ 35.23, d 2.547, I = 66
- 2θ 35.71, d 2.514, I = 61
- 2θ 38.68, d 2.328, I = 61
- 2θ 44.68, d 2.028, I = 100

AgWC9S4N3: theoretical X-ray powder pattern (Cu Kα (λ = 1.5418 Å)), based on a structure optimized by DFT (PBE).
Peak positions follow from Bragg's law for the DFT cell and can differ from measured ones.

Crystal structure
```
data_AgWC9S4N3
_cell_length_a 6.6408
_cell_length_b 7.5522
_cell_length_c 18.8586
_cell_angle_alpha 90.00
_cell_angle_beta 91.74
_cell_angle_gamma 90.00
_symmetry_space_group_name_H-M 'P 1'
_symmetry_Int_Tables_number 1
loop_
_symmetry_equiv_pos_as_xyz
'x,y,z'
loop_
_atom_site_label
_atom_site_type_symbol
_atom_site_fract_x
_atom_site_fract_y
_atom_site_fract_z
_atom_site_occupancy
Ag1 Ag 0.0323 0.0000 0.3197 1
Ag2 Ag 0.9677 0.5000 0.6803 1
W1 W 0.2987 0.9854 0.2001 1
W2 W 0.7013 0.4854 0.7999 1
C1 C 0.1564 0.4716 0.5945 1
C2 C 0.2577 0.1000 0.9251 1
C3 C 0.3537 0.7974 0.8722 1
C4 C 0.3580 0.6488 0.8442 1
C5 C 0.3803 0.2336 0.5510 1
C6 C 0.3801 0.2670 0.3065 1
C7 C 0.4174 0.0779 0.5705 1
C8 C 0.4523 0.3474 0.3596 1
C9 C 0.4715 0.0745 0.9421 1
C10 C 0.5285 0.5745 0.0579 1
C11 C 0.5477 0.8474 0.6404 1
C12 C 0.5826 0.5779 0.4295 1
C13 C 0.6197 0.7336 0.4490 1
C14 C 0.6199 0.7670 0.6935 1
C15 C 0.6420 0.1488 0.1558 1
C16 C 0.6463 0.2974 0.1278 1
C17 C 0.7423 0.6000 0.0749 1
C18 C 0.8436 0.9716 0.4055 1
S1 S 0.1551 0.9759 0.0983 1
S2 S 0.1834 0.2531 0.2483 1
S3 S 0.1953 0.7492 0.2565 1
S4 S 0.3447 0.4502 0.8083 1
S5 S 0.6553 0.9502 0.1917 1
S6 S 0.8047 0.2492 0.7435 1
S7 S 0.8166 0.7531 0.7517 1
S8 S 0.8449 0.4759 0.9017 1
N1 N 0.2644 0.3629 0.5708 1
N2 N 0.3596 0.9489 0.9041 1
N3 N 0.4657 0.9195 0.5857 1
N4 N 0.5343 0.4195 0.4143 1
N5 N 0.6404 0.4489 0.0959 1
N6 N 0.7356 0.8629 0.4292 1
```

Most intense lines, 15° ≤ 2θ ≤ 90°, sorted by position:
- 2θ 17.79, d 4.986, I = 72
- 2θ 18.51, d 4.793, I = 46
- 2θ 19.75, d 4.495, I = 100
- 2θ 20.34, d 4.366, I = 77
- 2θ 36.00, d 2.495, I = 53
- 2θ 38.55, d 2.335, I = 44

RbHgSbTe3: theoretical X-ray powder pattern (Cu Kα (λ = 1.5418 Å)), based on a structure optimized by DFT (PBE).
Peak positions follow from Bragg's law for the DFT cell and can differ from measured ones.

Crystal structure
```
data_RbHgSbTe3
_cell_length_a 8.3892
_cell_length_b 8.3892
_cell_length_c 12.0279
_cell_angle_alpha 90.00
_cell_angle_beta 90.00
_cell_angle_gamma 148.25
_symmetry_space_group_name_H-M 'P 1'
_symmetry_Int_Tables_number 1
loop_
_symmetry_equiv_pos_as_xyz
'x,y,z'
loop_
_atom_site_label
_atom_site_type_symbol
_atom_site_fract_x
_atom_site_fract_y
_atom_site_fract_z
_atom_site_occupancy
Rb1 Rb 0.2503 0.7497 0.5000 1
Rb2 Rb 0.7497 0.2503 0.0000 1
Hg1 Hg 0.0500 0.9500 0.9914 1
Hg2 Hg 0.9500 0.0500 0.4914 1
Sb1 Sb 0.4894 0.5106 0.2350 1
Sb2 Sb 0.5106 0.4894 0.7350 1
Te1 Te 0.1231 0.8769 0.2060 1
Te2 Te 0.1361 0.8639 0.7870 1
Te3 Te 0.4344 0.5656 0.0044 1
Te4 Te 0.5656 0.4344 0.5044 1
Te5 Te 0.8639 0.1361 0.2870 1
Te6 Te 0.8769 0.1231 0.7060 1
```

Most intense lines, 15° ≤ 2θ ≤ 90°, sorted by position:
- 2θ 26.59, d 3.353, I = 100
- 2θ 29.58, d 3.020, I = 50
- 2θ 29.71, d 3.007, I = 41
- 2θ 39.26, d 2.295, I = 28
- 2θ 40.92, d 2.206, I = 26
- 2θ 45.80, d 1.981, I = 34

RbSb3: theoretical X-ray powder pattern (Cu Kα (λ = 1.5418 Å)), based on a structure optimized by DFT (PBE).
Peak positions follow from Bragg's law for the DFT cell and can differ from measured ones.

Crystal structure
```
data_RbSb3
_cell_length_a 5.7164
_cell_length_b 5.7164
_cell_length_c 9.9633
_cell_angle_alpha 90.00
_cell_angle_beta 90.00
_cell_angle_gamma 120.00
_symmetry_space_group_name_H-M 'P 1'
_symmetry_Int_Tables_number 1
loop_
_symmetry_equiv_pos_as_xyz
'x,y,z'
loop_
_atom_site_label
_atom_site_type_symbol
_atom_site_fract_x
_atom_site_fract_y
_atom_site_fract_z
_atom_site_occupancy
Rb1 Rb 0.3333 0.6667 0.2500 1
Rb2 Rb 0.6667 0.3333 0.7500 1
Sb1 Sb 0.0000 0.0000 0.2500 1
Sb2 Sb 0.0000 0.0000 0.7500 1
Sb3 Sb 0.3333 0.6667 0.6042 1
Sb4 Sb 0.3333 0.6667 0.8958 1
Sb5 Sb 0.6667 0.3333 0.1042 1
Sb6 Sb 0.6667 0.3333 0.3958 1
```

Most intense lines, 15° ≤ 2θ ≤ 90°, sorted by position:
- 2θ 25.36, d 3.512, I = 20
- 2θ 31.30, d 2.858, I = 100
- 2θ 32.46, d 2.758, I = 65
- 2θ 45.71, d 1.985, I = 25
- 2θ 55.70, d 1.650, I = 19
- 2θ 56.44, d 1.630, I = 26